Structure and theoretical X-ray powder pattern of MgGaMoO4 (DFT lattice parameters and positions (PBE+U); a wavelength of 1.5418 Å).
Neutral-atom scattering factors, no anomalous dispersion.

Largest 10 diffraction maxima, in order of falling intensity, 2θ = 10–80°:
2θ (°), I_rel
35.48, 100
33.90, 52
60.67, 52
34.30, 40
28.80, 38
29.26, 37
17.52, 28
54.36, 26
55.46, 23
20.25, 20

Cell and atoms:
a = 6.114 Å, b = 6.114 Å, c = 6.114 Å
α = 122.92°, β = 119.07°, γ = 88.32°
Fractional coordinates of all 14 atoms:
1 Mg 0.000 0.000 0.000
2 Mg 0.500 0.000 0.500
3 Ga 0.370 0.620 0.750
4 Ga 0.630 0.380 0.250
5 Mo 0.000 0.000 0.500
6 Mo 0.000 0.500 0.000
7 O 0.244 0.235 0.490
8 O 0.244 0.754 0.010
9 O 0.253 0.246 0.007
10 O 0.261 0.754 0.507
11 O 0.739 0.246 0.493
12 O 0.747 0.754 0.993
13 O 0.756 0.246 0.990
14 O 0.756 0.765 0.510